# Li9Mn2Co5O16
Calculated X-ray powder pattern, Cu Ka. Input: DFT lattice parameters and positions (PBE+U).

Cell and atoms:
a b c (Å): 10.076 5.840 9.743
angles (deg): 90.00 100.12 90.00
Space group C2 (No. 5)
Symmetry-distinct sites (fractional):
Li 0.000 0.000 0.000
Li 0.121 0.758 0.246
Li 0.122 0.247 0.249
Li 0.125 0.999 0.757
Li 0.126 0.499 0.755
Mn 0.000 0.247 0.500
Mn 0.000 0.500 0.000
Co 0.000 0.747 0.500
Co 0.250 0.250 0.001
Co 0.250 0.497 0.500
O 0.061 0.011 0.382
O 0.061 0.481 0.385
O 0.070 0.735 0.890
O 0.071 0.264 0.892
O 0.176 0.501 0.117
O 0.179 0.246 0.616
O 0.194 0.747 0.616
O 0.197 0.998 0.104

The 10 most intense peaks (10° ≤ 2θ ≤ 90°), in order of rising 2θ:
h k l	2θ (°)	I (rel.)
0 0 2	18.50	100
2 2 -1	36.09	28
4 0 0	36.22	13
4 0 -2	37.78	11
2 2 -3	43.75	55
4 0 2	43.95	27
4 0 -4	47.95	13
2 2 5	63.52	22
6 2 -1	63.95	15
4 4 2	80.70	10